(1)
The following is a theoretical powder diffraction line list of Pm2Dy3YS6. It was derived from the GGA-PBE geometry in Alexandria, using Cu Kα.
Intensities are scaled so that the largest is 100.

Most intense lines, 10 to 90 degrees two-theta, in order of rising 2θ:
two_theta, intensity, (hkl)
27.50, 19, 4 0 -2
27.63, 19, 2 0 2
27.75, 37, 3 1 0
32.04, 100, 6 0 0
45.67, 12, 2 0 -4
45.88, 24, 7 1 -2
46.08, 36, 0 2 0
54.60, 21, 9 1 0
57.31, 12, 6 2 0
76.47, 10, 1 3 -2

Cell: 17.217 3.935 7.947 Å, 90.00 103.63 90.00°
Space group C2/m (No. 12)
One atom of each set of equivalent atoms:
Pm: 0.167 0.000 0.335 [4 per cell]
Dy: 0.000 0.500 0.500 [2 per cell]
Dy: 0.168 0.000 0.833 [4 per cell]
Y: 0.000 0.500 0.000 [2 per cell]
S: 0.003 0.000 0.751 [4 per cell]
S: 0.164 0.500 0.590 [4 per cell]
S: 0.166 0.500 0.075 [4 per cell]

***

(2)
The following is a theoretical powder diffraction line list of Pm4DyY3S8. It was derived from the GGA-PBE geometry in Alexandria, using Cu Kα.
Intensities are scaled so that the largest is 100.

Most intense lines, 10 to 90 degrees two-theta, in order of rising 2θ:
two_theta, intensity, (hkl)
27.24, 17, 0 0 6
27.56, 49, 2 0 2
31.84, 100, 0 2 4
45.44, 36, 2 0 8
45.85, 35, 2 2 0
54.15, 16, 2 2 6
56.90, 18, 4 0 4
75.35, 16, 2 2 12
75.95, 15, 2 4 4
84.56, 12, 4 2 8

Cell: 7.9169 7.9169 19.6410 Å, 90.00 90.00 120.00°
Space group R-3m (No. 166, hexagonal axes)
One atom of each set of equivalent atoms:
Pm: 0.0000 0.0000 0.0000 [3 per cell]
Pm: 0.0000 0.5000 0.0000 [9 per cell]
Dy: 0.0000 0.0000 0.5000 [3 per cell]
Y: 0.0000 0.5000 0.5000 [9 per cell]
S: 0.0000 0.0000 0.2460 [6 per cell]
S: 0.0006 0.5003 0.2459 [18 per cell]

***

(3)
The following is a theoretical powder diffraction line list of Pm8DySb6. It was derived from the GGA-PBE geometry in Alexandria, using Cu Kα.
Intensities are scaled so that the largest is 100.

Most intense lines, 10 to 90 degrees two-theta, in order of rising 2θ:
two_theta, intensity, (hkl)
24.21, 36, 1 1 3
30.28, 100, 1 1 6
38.30, 58, 3 0 0
38.49, 20, 2 -1 9
47.97, 18, 2 -1 12
49.59, 25, 4 -2 6
64.34, 23, 4 1 6
67.63, 12, 3 0 15
69.26, 10, 3 3 0
89.86, 10, 7 -2 6

Cell: 8.1399 8.1399 25.7229 Å, 90.00 90.00 120.00°
Space group R-3 (No. 148, hexagonal axes)
One atom of each set of equivalent atoms:
Pm: 0.0000 0.0000 0.1667 [6 per cell]
Pm: 0.0013 0.6632 0.3786 [18 per cell]
Dy: 0.0000 0.0000 0.5000 [3 per cell]
Sb: 0.0009 0.6723 0.5663 [18 per cell]

***

(4)
The following is a theoretical powder diffraction line list of PmDy3Sb3. It was derived from the GGA-PBE geometry in Alexandria, using Cu Kα.
Intensities are scaled so that the largest is 100.

Most intense lines, 10 to 90 degrees two-theta, in order of rising 2θ:
two_theta, intensity, (hkl)
30.53, 100, 3 1 0
36.31, 68, 3 2 1
43.73, 10, 4 2 0
45.98, 8, 3 3 2
48.15, 18, 4 2 2
50.25, 24, 4 1 3
61.77, 25, 6 1 1
63.56, 12, 6 2 0
65.32, 15, 5 1 4
75.45, 14, 5 5 2

Cell: 9.258 9.258 9.258 Å, 90.00 90.00 90.00°
Space group P2_13 (No. 198)
One atom of each set of equivalent atoms:
Pm: 0.070 0.430 0.570 [4 per cell]
Dy: 0.075 0.575 0.925 [4 per cell]
Dy: 0.179 0.821 0.321 [4 per cell]
Dy: 0.180 0.180 0.180 [4 per cell]
Sb: 0.001 0.255 0.878 [12 per cell]

***

(5)
The following is a theoretical powder diffraction line list of PmDy3Sb4. It was derived from the GGA-PBE geometry in Alexandria, using Cu Kα.
Intensities are scaled so that the largest is 100.

Most intense lines, 10 to 90 degrees two-theta, in order of rising 2θ:
two_theta, intensity, (hkl)
24.73, 3, 1 1 1
28.63, 100, 2 0 0
40.93, 76, 2 2 0
48.41, 2, 3 1 1
50.71, 27, 2 2 2
59.27, 13, 4 0 0
65.21, 1, 3 3 1
67.13, 35, 4 2 0
74.55, 26, 4 2 2
88.75, 9, 4 4 0

Cell: 6.236 6.236 6.236 Å, 90.00 90.00 90.00°
Space group Pm-3m (No. 221)
One atom of each set of equivalent atoms:
Pm: 0.000 0.000 0.000 [1 per cell]
Dy: 0.000 0.500 0.500 [3 per cell]
Sb: 0.000 0.000 0.500 [3 per cell]
Sb: 0.500 0.500 0.500 [1 per cell]

***

(6)
The following is a theoretical powder diffraction line list of PmDySb. It was derived from the GGA-PBE geometry in Alexandria, using Cu Kα.
Intensities are scaled so that the largest is 100.

Most intense lines, 10 to 90 degrees two-theta, in order of rising 2θ:
two_theta, intensity, (hkl)
29.86, 100, 1 1 2
31.14, 37, 0 0 6
32.69, 31, 1 0 5
34.99, 92, 1 1 4
39.96, 59, 2 0 0
51.50, 36, 2 0 6
57.79, 20, 2 2 0
66.40, 20, 3 1 2
67.11, 16, 2 2 6
69.37, 25, 3 1 4

Cell: 4.513 4.513 17.234 Å, 90.00 90.00 90.00°
Space group I4/mmm (No. 139)
One atom of each set of equivalent atoms:
Pm: 0.000 0.000 0.177 [4 per cell]
Dy: 0.000 0.500 0.000 [4 per cell]
Sb: 0.000 0.000 0.365 [4 per cell]